# NaMn3F6
Simulated X-ray diffraction stick pattern, a wavelength of 1.5418 Å. Input: a structure optimized by DFT (GGA+U).

Structure:
Lattice parameters (Å, degrees): 7.7109 10.8860 3.4485 90.00 90.00 90.00
Space group Cmmm (No. 65)
Symmetry-distinct sites (fractional):
Na1 0.0000 0.0000 0.0000 [2 per cell]
Mn1 0.0000 0.5000 0.0000 [2 per cell]
Mn2 0.2500 0.2500 0.5000 [4 per cell]
F1 0.0000 0.1596 0.5000 [4 per cell]
F2 0.2019 0.3683 0.0000 [8 per cell]

Main lines, sorted by position (15° ≤ 2θ ≤ 90°):
Position (°2θ), intensity, h k l
16.28, 188, 0 2 0
28.37, 985, 2 2 0
29.54, 261, 1 1 1
30.69, 1000, 0 2 1
47.15, 225, 4 0 0
48.73, 940, 2 4 1
53.12, 210, 0 0 2
56.01, 186, 2 6 0
57.33, 415, 4 2 1
61.31, 192, 2 2 2